Calculated powder diffraction line list
Compound: MgMn5CrP6O24
Radiation: Cu Kα (weighted mean of Kα1 and Kα2)
Structure: a cell relaxed with PBE+U
No peak broadening, texture or thermal motion is included.

Cell and atoms:
Cell lengths 8.6730, 8.6970, 8.7210 Å; angles 87.29, 60.59, 60.69 degrees
Sites, in units of the cell vectors:
Mg  0.0000  0.0000  0.0000
Mn  0.2458  0.1514  0.3993
Mn  0.2764  0.6080  0.8802
Mn  0.4954  0.7457  0.2724
Mn  0.5575  0.1730  0.7326
Mn  0.9488  0.5775  0.5428
Cr  0.7817  0.3723  0.1273
P  0.0378  0.8770  0.6369
P  0.0720  0.3749  0.8304
P  0.4664  0.8651  0.9291
P  0.4678  0.3777  0.1351
P  0.7513  0.8782  0.3450
P  0.7678  0.3711  0.4347
O  0.0505  0.2091  0.8882
O  0.0738  0.7112  0.5351
O  0.0815  0.3817  0.6492
O  0.0962  0.8237  0.7820
O  0.1851  0.9342  0.4932
O  0.2634  0.3703  0.8052
O  0.2972  0.3630  0.2971
O  0.2969  0.8353  0.9443
O  0.4206  0.9099  0.1275
O  0.4325  0.0446  0.8714
O  0.4421  0.3932  0.9732
O  0.4872  0.5447  0.1709
O  0.5531  0.9131  0.3417
O  0.6036  0.3685  0.6162
O  0.6423  0.5379  0.3738
O  0.6620  0.0528  0.4728
O  0.6826  0.6989  0.8033
O  0.6874  0.2150  0.0942
O  0.8092  0.0415  0.7339
O  0.8185  0.7089  0.4197
O  0.8752  0.5354  0.0006
O  0.8950  0.2120  0.2634
O  0.9317  0.3753  0.4573
O  0.9326  0.8363  0.1504

Largest 10 diffraction maxima, in order of rising 2θ, 10° ≤ 2θ ≤ 80°:
2θ (°)  I_rel  (hkl)
20.30  63.4  1 1 -1
20.44  100.0  1 0 2
22.85  43.1  1 0 -1
23.09  33.4  1 1 2
23.71  29.0  2 0 1
23.97  37.9  2 2 1
24.47  59.2  1 -1 2
31.80  26.4  2 -1 1
35.58  24.8  0 1 -3
35.70  21.9  3 2 0

***

Calculated powder diffraction line list
Compound: MgMn5CrP6O24
Radiation: Cu Kα (weighted mean of Kα1 and Kα2)
Structure: a cell relaxed with PBE+U
No peak broadening, texture or thermal motion is included.

Cell and atoms:
Cell lengths 8.6692, 8.7261, 8.7637 Å; angles 60.46, 88.32, 60.35 degrees
Sites, in units of the cell vectors:
Mg  0.0000  0.0000  0.0000
Mn  0.1471  0.7389  0.3902
Mn  0.2894  0.4514  0.8284
Mn  0.6212  0.7762  0.8586
Mn  0.7452  0.5071  0.2609
Mn  0.9126  0.2467  0.6306
Cr  0.4830  0.0512  0.4371
P  0.1003  0.5296  0.1432
P  0.1904  0.9358  0.6372
P  0.3773  0.9753  0.1220
P  0.5892  0.2505  0.6308
P  0.6779  0.2526  0.1314
P  0.8743  0.5687  0.6133
O  0.0196  0.1490  0.4737
O  0.0378  0.5903  0.5969
O  0.0833  0.6970  0.1744
O  0.1291  0.9541  0.8018
O  0.1561  0.5638  0.9657
O  0.2056  0.7564  0.6320
O  0.2299  0.9195  0.1623
O  0.2339  0.3102  0.3136
O  0.2865  0.2017  0.9491
O  0.3740  0.9211  0.6387
O  0.4020  0.4189  0.6299
O  0.4659  0.9448  0.2913
O  0.5305  0.8228  0.0747
O  0.5462  0.3521  0.9516
O  0.5637  0.0846  0.6342
O  0.6100  0.1779  0.2990
O  0.6381  0.3747  0.4579
O  0.6821  0.4506  0.0944
O  0.7111  0.7431  0.6248
O  0.7587  0.1304  0.7926
O  0.8288  0.5467  0.4521
O  0.8749  0.0702  0.1699
O  0.9008  0.5730  0.1027
O  0.9213  0.3479  0.7809

Largest 10 diffraction maxima, in order of rising 2θ, 10° ≤ 2θ ≤ 80°:
2θ (°)  I_rel  (hkl)
20.35  100.0  -1 1 1
20.50  50.7  2 1 0
23.26  38.3  1 -1 0
23.49  32.0  2 1 1
23.66  23.6  1 2 0
23.84  31.5  1 2 2
24.24  61.2  2 1 -1
35.53  21.5  0 3 2
35.81  40.1  3 3 1
47.05  19.5  3 1 -3